# 1
Ac5Te4Rh: simulated powder diffraction line list (Cu Kα, 1.54184 Å), based on DFT lattice parameters and positions (PBE).
Peak positions follow from Bragg's law for the DFT cell and can differ from measured ones.

Most intense lines, 15° ≤ 2θ ≤ 90°, in order of rising 2θ:
| Position (°2θ) | intensity |
| --- | --- |
| 23.3 | 20 |
| 26.9 | 100 |
| 27.0 | 37 |
| 31.0 | 15 |
| 38.5 | 97 |
| 47.6 | 32 |
| 55.5 | 14 |
| 62.8 | 33 |
| 69.6 | 21 |
| 70.5 | 12 |

Cell: 16.8207 16.8207 16.8207 Å, 164.01 164.01 22.69°
Fractional positions:
Ac  0.0000  0.0000  0.0000
Ac  0.2056  0.2056  0.0000
Ac  0.4137  0.4137  0.0000
Ac  0.5863  0.5863  0.0000
Ac  0.7944  0.7944  0.0000
Te  0.1030  0.1030  0.0000
Te  0.3083  0.3083  0.0000
Te  0.6917  0.6917  0.0000
Te  0.8970  0.8970  0.0000
Rh  0.5000  0.5000  0.0000

---

# 2
Ac12ThRh7: simulated powder diffraction line list (Cu Kα, 1.54184 Å), based on DFT lattice parameters and positions (PBE).
Peak positions follow from Bragg's law for the DFT cell and can differ from measured ones.

Most intense lines, 15° ≤ 2θ ≤ 90°, in order of rising 2θ:
| Position (°2θ) | intensity |
| --- | --- |
| 25.4 | 17 |
| 25.7 | 49 |
| 29.6 | 100 |
| 42.2 | 38 |
| 42.6 | 37 |
| 50.2 | 17 |
| 52.7 | 20 |
| 61.5 | 13 |
| 69.5 | 17 |
| 70.0 | 17 |

Cell: 9.5110 9.5110 9.5110 Å, 107.22 107.22 107.22°
Fractional positions:
Ac  0.0489  0.3443  0.1259
Ac  0.1259  0.0489  0.3443
Ac  0.1873  0.7209  0.5750
Ac  0.2791  0.4250  0.8127
Ac  0.3443  0.1259  0.0489
Ac  0.4250  0.8127  0.2791
Ac  0.5750  0.1873  0.7209
Ac  0.6557  0.8741  0.9511
Ac  0.7209  0.5750  0.1873
Ac  0.8127  0.2791  0.4250
Ac  0.8741  0.9511  0.6557
Ac  0.9511  0.6557  0.8741
Th  0.5000  0.5000  0.5000
Rh  0.0000  0.0000  0.0000
Rh  0.1599  0.3859  0.4722
Rh  0.3859  0.4722  0.1599
Rh  0.4722  0.1599  0.3859
Rh  0.5278  0.8401  0.6141
Rh  0.6141  0.5278  0.8401
Rh  0.8401  0.6141  0.5278

---

# 3
Ac5ThRh4: simulated powder diffraction line list (Cu Kα, 1.54184 Å), based on DFT lattice parameters and positions (PBE).
Peak positions follow from Bragg's law for the DFT cell and can differ from measured ones.

Most intense lines, 15° ≤ 2θ ≤ 90°, in order of rising 2θ:
| Position (°2θ) | intensity |
| --- | --- |
| 25.6 | 58 |
| 26.3 | 19 |
| 29.8 | 100 |
| 29.9 | 50 |
| 42.0 | 21 |
| 42.3 | 39 |
| 43.2 | 54 |
| 50.5 | 13 |
| 52.4 | 21 |
| 77.9 | 12 |

Cell: 9.5123 9.5123 8.3851 Å, 104.28 104.28 26.11°
Fractional positions:
Ac  0.0000  0.0000  0.0000
Ac  0.3335  0.3335  0.6500
Ac  0.3379  0.3379  0.1695
Ac  0.6621  0.6621  0.8305
Ac  0.6665  0.6665  0.3500
Th  0.0000  0.0000  0.5000
Rh  0.1647  0.1647  0.5974
Rh  0.4990  0.4990  0.7419
Rh  0.5010  0.5010  0.2581
Rh  0.8353  0.8353  0.4026

---

# 4
Ac3Tl2Rh: simulated powder diffraction line list (Cu Kα, 1.54184 Å), based on DFT lattice parameters and positions (PBE).
Peak positions follow from Bragg's law for the DFT cell and can differ from measured ones.

Most intense lines, 15° ≤ 2θ ≤ 90°, in order of rising 2θ:
| Position (°2θ) | intensity |
| --- | --- |
| 26.9 | 100 |
| 27.8 | 35 |
| 28.3 | 63 |
| 31.1 | 47 |
| 33.9 | 23 |
| 39.4 | 73 |
| 43.0 | 21 |
| 52.2 | 51 |
| 53.9 | 21 |
| 65.6 | 17 |

Cell: 8.9382 8.9382 8.4209 Å, 103.63 103.63 41.28°
Fractional positions:
Ac  0.0003  0.9997  0.2500
Ac  0.9997  0.0003  0.7500
Ac  0.3723  0.3741  0.9365
Ac  0.3741  0.3723  0.4365
Ac  0.6259  0.6277  0.5635
Ac  0.6277  0.6259  0.0635
Tl  0.1982  0.2004  0.5997
Tl  0.2004  0.1982  0.0997
Tl  0.7996  0.8018  0.9003
Tl  0.8018  0.7996  0.4003
Rh  0.5003  0.4997  0.2500
Rh  0.4997  0.5003  0.7500

---

# 5
Ac2Tl3Rh4: simulated powder diffraction line list (Cu Kα, 1.54184 Å), based on DFT lattice parameters and positions (PBE).
Peak positions follow from Bragg's law for the DFT cell and can differ from measured ones.

Most intense lines, 15° ≤ 2θ ≤ 90°, in order of rising 2θ:
| Position (°2θ) | intensity |
| --- | --- |
| 26.2 | 24 |
| 30.6 | 21 |
| 31.4 | 66 |
| 32.1 | 18 |
| 33.0 | 35 |
| 35.3 | 21 |
| 38.0 | 100 |
| 39.0 | 26 |
| 59.8 | 19 |
| 67.1 | 20 |

Cell: 9.4433 9.4433 7.3504 Å, 90.00 90.00 141.75°
Fractional positions:
Ac  0.1034  0.8966  0.9169
Ac  0.3966  0.6034  0.4169
Ac  0.6034  0.3966  0.5831
Ac  0.8966  0.1034  0.0831
Tl  0.0000  0.0000  0.5000
Tl  0.0156  0.4844  0.7500
Tl  0.4844  0.0156  0.2500
Tl  0.5000  0.5000  0.0000
Tl  0.5156  0.9844  0.7500
Tl  0.9844  0.5156  0.2500
Rh  0.1609  0.8391  0.5290
Rh  0.1730  0.3270  0.7500
Rh  0.3270  0.1730  0.2500
Rh  0.3391  0.6609  0.0290
Rh  0.6609  0.3391  0.9710
Rh  0.6730  0.8270  0.7500
Rh  0.8270  0.6730  0.2500
Rh  0.8391  0.1609  0.4710

---

# 6
Ac2Tl3Rh2: simulated powder diffraction line list (Cu Kα, 1.54184 Å), based on DFT lattice parameters and positions (PBE).
Peak positions follow from Bragg's law for the DFT cell and can differ from measured ones.

Most intense lines, 15° ≤ 2θ ≤ 90°, in order of rising 2θ:
| Position (°2θ) | intensity |
| --- | --- |
| 28.8 | 31 |
| 30.5 | 100 |
| 32.8 | 60 |
| 35.1 | 37 |
| 36.5 | 18 |
| 41.7 | 33 |
| 44.7 | 21 |
| 54.0 | 42 |
| 55.1 | 19 |
| 58.0 | 18 |

Cell: 11.2958 11.2958 4.0581 Å, 90.00 90.00 157.90°
Fractional positions:
Ac  0.1755  0.8245  0.0000
Ac  0.8245  0.1755  0.0000
Tl  0.0000  0.0000  0.0000
Tl  0.4235  0.5765  0.5000
Tl  0.5765  0.4235  0.5000
Rh  0.2946  0.7054  0.5000
Rh  0.7054  0.2946  0.5000

---

# 7
Ac2TlRh: simulated powder diffraction line list (Cu Kα, 1.54184 Å), based on DFT lattice parameters and positions (PBE).
Peak positions follow from Bragg's law for the DFT cell and can differ from measured ones.

Most intense lines, 15° ≤ 2θ ≤ 90°, in order of rising 2θ:
| Position (°2θ) | intensity |
| --- | --- |
| 25.9 | 92 |
| 31.7 | 14 |
| 31.8 | 100 |
| 41.6 | 47 |
| 49.4 | 23 |
| 49.7 | 16 |
| 53.2 | 44 |
| 66.7 | 14 |
| 69.8 | 21 |
| 81.5 | 11 |

Cell: 4.3433 4.3433 8.4754 Å, 90.00 90.00 120.00°
Fractional positions:
Ac  0.3333  0.6667  0.1927
Ac  0.6667  0.3333  0.8073
Tl  0.0000  0.0000  0.5000
Rh  0.0000  0.0000  0.0000

---

# 8
Ac4Tl5Rh6: simulated powder diffraction line list (Cu Kα, 1.54184 Å), based on DFT lattice parameters and positions (PBE).
Peak positions follow from Bragg's law for the DFT cell and can differ from measured ones.

Most intense lines, 15° ≤ 2θ ≤ 90°, in order of rising 2θ:
| Position (°2θ) | intensity |
| --- | --- |
| 27.0 | 56 |
| 30.8 | 56 |
| 31.4 | 100 |
| 33.1 | 41 |
| 33.8 | 74 |
| 36.1 | 28 |
| 36.9 | 32 |
| 37.0 | 50 |
| 41.6 | 35 |
| 42.7 | 63 |

Cell: 11.1650 11.1650 16.2418 Å, 90.00 90.00 158.12°
Fractional positions:
Ac  0.0041  0.9959  0.5000
Ac  0.0616  0.9384  0.7639
Ac  0.1295  0.8705  0.2963
Ac  0.1795  0.8205  0.9616
Ac  0.8205  0.1795  0.4616
Ac  0.8705  0.1295  0.7963
Ac  0.9384  0.0616  0.2639
Ac  0.9959  0.0041  0.0000
Tl  0.1679  0.8321  0.6029
Tl  0.3021  0.6979  0.6459
Tl  0.3059  0.6941  0.2818
Tl  0.3603  0.6397  0.9604
Tl  0.4593  0.5407  0.6662
Tl  0.5407  0.4593  0.1662
Tl  0.6397  0.3603  0.4604
Tl  0.6941  0.3059  0.7818
Tl  0.6979  0.3021  0.1459
Tl  0.8321  0.1679  0.1029
Rh  0.1135  0.8865  0.1145
Rh  0.2247  0.7753  0.4442
Rh  0.2725  0.7275  0.8231
Rh  0.4159  0.5841  0.3961
Rh  0.4195  0.5805  0.1159
Rh  0.4649  0.5351  0.8504
Rh  0.5351  0.4649  0.3504
Rh  0.5805  0.4195  0.6159
Rh  0.5841  0.4159  0.8961
Rh  0.7275  0.2725  0.3231
Rh  0.7753  0.2247  0.9442
Rh  0.8865  0.1135  0.6145

---

# 9
AcTl2Rh2: simulated powder diffraction line list (Cu Kα, 1.54184 Å), based on DFT lattice parameters and positions (PBE).
Peak positions follow from Bragg's law for the DFT cell and can differ from measured ones.

Most intense lines, 15° ≤ 2θ ≤ 90°, in order of rising 2θ:
| Position (°2θ) | intensity |
| --- | --- |
| 26.6 | 53 |
| 29.6 | 34 |
| 33.4 | 100 |
| 33.5 | 30 |
| 34.0 | 20 |
| 34.2 | 31 |
| 42.0 | 34 |
| 42.4 | 22 |
| 43.2 | 47 |
| 54.8 | 23 |

Cell: 5.7878 5.7878 5.4961 Å, 105.10 105.10 43.66°
Fractional positions:
Ac  0.0000  0.0000  0.0000
Tl  0.3489  0.3489  0.4166
Tl  0.6511  0.6511  0.5834
Rh  0.2860  0.2860  0.8775
Rh  0.7140  0.7140  0.1225

---

# 10
Ac5Tl4Rh2: simulated powder diffraction line list (Cu Kα, 1.54184 Å), based on DFT lattice parameters and positions (PBE).
Peak positions follow from Bragg's law for the DFT cell and can differ from measured ones.

Most intense lines, 15° ≤ 2θ ≤ 90°, in order of rising 2θ:
| Position (°2θ) | intensity |
| --- | --- |
| 28.0 | 19 |
| 29.4 | 25 |
| 30.6 | 100 |
| 31.6 | 91 |
| 32.1 | 40 |
| 33.3 | 26 |
| 33.7 | 34 |
| 33.9 | 28 |
| 34.5 | 25 |
| 45.0 | 32 |

Cell: 8.7382 19.4087 4.0252 Å, 90.00 90.00 90.00°
Fractional positions:
Ac  0.0000  0.0000  0.0000
Ac  0.1092  0.4082  0.0000
Ac  0.2410  0.2207  0.0000
Ac  0.2590  0.7207  0.0000
Ac  0.3908  0.9082  0.0000
Ac  0.5000  0.5000  0.0000
Ac  0.6092  0.0918  0.0000
Ac  0.7410  0.2793  0.0000
Ac  0.7590  0.7793  0.0000
Ac  0.8908  0.5918  0.0000
Tl  0.0653  0.8492  0.5000
Tl  0.2108  0.5679  0.5000
Tl  0.2892  0.0679  0.5000
Tl  0.4347  0.3492  0.5000
Tl  0.5653  0.6508  0.5000
Tl  0.7108  0.9321  0.5000
Tl  0.7892  0.4321  0.5000
Tl  0.9347  0.1508  0.5000
Rh  0.0005  0.3052  0.5000
Rh  0.4995  0.8052  0.5000
Rh  0.5005  0.1948  0.5000
Rh  0.9995  0.6948  0.5000

---

# 11
Ac6Tl3Rh: simulated powder diffraction line list (Cu Kα, 1.54184 Å), based on DFT lattice parameters and positions (PBE).
Peak positions follow from Bragg's law for the DFT cell and can differ from measured ones.

Most intense lines, 15° ≤ 2θ ≤ 90°, in order of rising 2θ:
| Position (°2θ) | intensity |
| --- | --- |
| 21.1 | 64 |
| 24.8 | 25 |
| 27.3 | 41 |
| 29.5 | 83 |
| 31.2 | 100 |
| 31.4 | 58 |
| 40.1 | 31 |
| 44.0 | 26 |
| 54.9 | 39 |
| 57.0 | 24 |

Cell: 10.1381 10.1381 8.1588 Å, 90.00 90.00 104.94°
Fractional positions:
Ac  0.0062  0.9938  0.5000
Ac  0.0761  0.6003  0.4122
Ac  0.2407  0.7593  0.9588
Ac  0.3236  0.3640  0.9543
Ac  0.3640  0.3236  0.4543
Ac  0.3997  0.9239  0.4122
Ac  0.6003  0.0761  0.9122
Ac  0.6360  0.6764  0.9543
Ac  0.6764  0.6360  0.4543
Ac  0.7593  0.2407  0.4588
Ac  0.9239  0.3997  0.9122
Ac  0.9938  0.0062  0.0000
Tl  0.0675  0.2899  0.2451
Tl  0.2899  0.0675  0.7451
Tl  0.3766  0.6234  0.6494
Tl  0.6234  0.3766  0.1494
Tl  0.7101  0.9325  0.2451
Tl  0.9325  0.7101  0.7451
Rh  0.1381  0.8619  0.2502
Rh  0.8619  0.1381  0.7502

---

# 12
Ac5Tl5Rh: simulated powder diffraction line list (Cu Kα, 1.54184 Å), based on DFT lattice parameters and positions (PBE).
Peak positions follow from Bragg's law for the DFT cell and can differ from measured ones.

Most intense lines, 15° ≤ 2θ ≤ 90°, in order of rising 2θ:
| Position (°2θ) | intensity |
| --- | --- |
| 27.1 | 35 |
| 28.4 | 49 |
| 30.1 | 26 |
| 31.0 | 100 |
| 31.7 | 71 |
| 43.3 | 18 |
| 44.2 | 18 |
| 45.4 | 18 |
| 54.7 | 27 |
| 55.9 | 19 |

Cell: 9.8483 9.8483 9.8483 Å, 146.62 129.84 61.60°
Fractional positions:
Ac  0.0000  0.0000  0.0000
Ac  0.0800  0.3538  0.7262
Ac  0.3724  0.6462  0.7262
Ac  0.6276  0.3538  0.2738
Ac  0.9200  0.6462  0.2738
Tl  0.2024  0.2024  0.0000
Tl  0.3509  0.8509  0.5000
Tl  0.5000  0.5000  0.0000
Tl  0.6491  0.1491  0.5000
Tl  0.7976  0.7976  0.0000
Rh  0.0000  0.5000  0.5000

---

> Number 6 is which compound?

Ac2Tl3Rh2

---

Please write out number 11 again, unchanged.
Ac6Tl3Rh: simulated powder diffraction line list (Cu Kα, 1.54184 Å), based on DFT lattice parameters and positions (PBE).
Peak positions follow from Bragg's law for the DFT cell and can differ from measured ones.

Most intense lines, 15° ≤ 2θ ≤ 90°, in order of rising 2θ:
| Position (°2θ) | intensity |
| --- | --- |
| 21.1 | 64 |
| 24.8 | 25 |
| 27.3 | 41 |
| 29.5 | 83 |
| 31.2 | 100 |
| 31.4 | 58 |
| 40.1 | 31 |
| 44.0 | 26 |
| 54.9 | 39 |
| 57.0 | 24 |

Cell: 10.1381 10.1381 8.1588 Å, 90.00 90.00 104.94°
Fractional positions:
Ac  0.0062  0.9938  0.5000
Ac  0.0761  0.6003  0.4122
Ac  0.2407  0.7593  0.9588
Ac  0.3236  0.3640  0.9543
Ac  0.3640  0.3236  0.4543
Ac  0.3997  0.9239  0.4122
Ac  0.6003  0.0761  0.9122
Ac  0.6360  0.6764  0.9543
Ac  0.6764  0.6360  0.4543
Ac  0.7593  0.2407  0.4588
Ac  0.9239  0.3997  0.9122
Ac  0.9938  0.0062  0.0000
Tl  0.0675  0.2899  0.2451
Tl  0.2899  0.0675  0.7451
Tl  0.3766  0.6234  0.6494
Tl  0.6234  0.3766  0.1494
Tl  0.7101  0.9325  0.2451
Tl  0.9325  0.7101  0.7451
Rh  0.1381  0.8619  0.2502
Rh  0.8619  0.1381  0.7502